Record 1
# Zn4As2O9
Calculated powder XRD pattern, Cu Kα X-rays. Input: a cell relaxed with PBE.

Peak list (10 most intense, 2θ from 15° to 90°, low angle first)
d = 3.183 Å, 2θ 28.0, I = 33, hkl 2 1 -3; d = 3.077 Å, 2θ 29.0, I = 100, hkl 0 2 2; d = 2.840 Å, 2θ 31.5, I = 42, hkl 3 0 0; d = 2.582 Å, 2θ 34.7, I = 43, hkl 3 2 -2; d = 2.513 Å, 2θ 35.7, I = 14, hkl 3 0 -4; d = 2.272 Å, 2θ 39.7, I = 14, hkl 0 0 4; d = 1.682 Å, 2θ 54.6, I = 26, hkl 2 3 -5; d = 1.642 Å, 2θ 56.0, I = 14, hkl 6 0 -4; d = 1.504 Å, 2θ 61.7, I = 12, hkl 6 2 -2; d = 1.399 Å, 2θ 66.9, I = 15, hkl 1 3 5

```
data_Zn4As2O9
_chemical_formula_sum 'Zn16 As8 O36'
_symmetry_space_group_name_H-M 'P 1 21/c 1'
_symmetry_Int_Tables_number 14
_symmetry_space_group_name_Hall '-P 2ybc'
_cell_length_a 9.931
_cell_length_b 8.360
_cell_length_c 10.599
_cell_angle_alpha 90.00
_cell_angle_beta 120.92
_cell_angle_gamma 90.00
loop_
_atom_site_label
_atom_site_type_symbol
_atom_site_fract_x
_atom_site_fract_y
_atom_site_fract_z
Zn1 Zn 0.016 0.193 0.006
Zn2 Zn 0.294 0.744 0.956
Zn3 Zn 0.347 0.182 0.523
Zn4 Zn 0.399 0.020 0.846
As1 As 0.000 0.016 0.286
As2 As 0.341 0.506 0.733
O1 O 0.024 0.001 0.137
O2 O 0.056 0.658 0.887
O3 O 0.106 0.171 0.406
O4 O 0.193 0.572 0.284
O5 O 0.258 0.665 0.614
O6 O 0.277 0.179 0.153
O7 O 0.325 0.524 0.887
O8 O 0.455 0.017 0.693
O9 O 0.495 0.173 0.009
```

---

Record 2
# Zn3As2O6
Calculated powder XRD pattern, Cu Kα X-rays. Input: a cell relaxed with PBE.

Peak list (10 most intense, 2θ from 15° to 90°, low angle first)
d = 5.758 Å, 2θ 15.4, I = 22, hkl 1 1 0; d = 4.082 Å, 2θ 21.8, I = 100, hkl 1 2 1; d = 3.496 Å, 2θ 25.5, I = 18, hkl 0 2 2; d = 3.461 Å, 2θ 25.7, I = 30, hkl 1 3 1; d = 3.276 Å, 2θ 27.2, I = 47, hkl 1 1 2; d = 2.860 Å, 2θ 31.3, I = 19, hkl 2 1 1; d = 2.690 Å, 2θ 33.3, I = 56, hkl 0 4 2; d = 2.645 Å, 2θ 33.9, I = 23, hkl 1 5 0; d = 2.463 Å, 2θ 36.5, I = 25, hkl 2 0 2; d = 1.472 Å, 2θ 63.2, I = 21, hkl 3 6 2

```
data_Zn3As2O6
_chemical_formula_sum 'Zn12 As8 O24'
_symmetry_space_group_name_H-M 'P b a m'
_symmetry_Int_Tables_number 55
_symmetry_space_group_name_Hall '-P 2 2ab'
_cell_length_a 6.267
_cell_length_b 14.589
_cell_length_c 7.966
_cell_angle_alpha 90.00
_cell_angle_beta 90.00
_cell_angle_gamma 90.00
loop_
_atom_site_label
_atom_site_type_symbol
_atom_site_fract_x
_atom_site_fract_y
_atom_site_fract_z
Zn1 Zn 0.000 0.000 0.186
Zn2 Zn 0.064 0.222 0.284
As1 As 0.092 0.626 0.000
As2 As 0.226 0.402 0.500
O1 O 0.089 0.896 0.325
O2 O 0.156 0.700 0.176
O3 O 0.161 0.281 0.500
O4 O 0.167 0.059 0.000
```

---

Record 3
# Zn9As6O28
Calculated powder XRD pattern, Cu Kα X-rays. Input: a cell relaxed with PBE.

Peak list (10 most intense, 2θ from 15° to 90°, low angle first)
d = 5.740 Å, 2θ 15.4, I = 52, hkl 0 1 -1; d = 3.834 Å, 2θ 23.2, I = 47, hkl 0 2 2; d = 3.248 Å, 2θ 27.5, I = 100, hkl 0 0 3; d = 3.158 Å, 2θ 28.3, I = 78, hkl 2 0 1; d = 3.038 Å, 2θ 29.4, I = 63, hkl 1 3 1; d = 2.917 Å, 2θ 30.7, I = 77, hkl 2 0 -1; d = 2.882 Å, 2θ 31.0, I = 62, hkl 0 3 2; d = 2.796 Å, 2θ 32.0, I = 85, hkl 0 1 -3; d = 2.472 Å, 2θ 36.3, I = 55, hkl 1 -3 0; d = 1.571 Å, 2θ 58.8, I = 43, hkl -3 3 1

```
data_Zn9As6O28
_chemical_formula_sum 'Zn9 As6 O28'
_symmetry_space_group_name_H-M 'P -1'
_symmetry_Int_Tables_number 2
_symmetry_space_group_name_Hall '-P 1'
_cell_length_a 6.633
_cell_length_b 9.374
_cell_length_c 10.374
_cell_angle_alpha 71.45
_cell_angle_beta 78.43
_cell_angle_gamma 75.98
loop_
_atom_site_label
_atom_site_type_symbol
_atom_site_fract_x
_atom_site_fract_y
_atom_site_fract_z
Zn1 Zn 0.000 0.000 0.000
Zn2 Zn 0.043 0.754 0.834
Zn3 Zn 0.207 0.380 0.472
Zn4 Zn 0.438 0.158 0.779
Zn5 Zn 0.470 0.504 0.800
As1 As 0.020 0.391 0.807
As2 As 0.257 0.722 0.516
As3 As 0.496 0.795 0.923
O1 O 0.005 0.014 0.181
O2 O 0.007 0.756 0.044
O3 O 0.090 0.828 0.619
O4 O 0.116 0.593 0.506
O5 O 0.135 0.524 0.836
O6 O 0.195 0.302 0.692
O7 O 0.212 0.512 0.254
O8 O 0.221 0.175 0.432
O9 O 0.272 0.187 0.179
O10 O 0.328 0.843 0.362
O11 O 0.337 0.976 0.907
O12 O 0.371 0.684 0.875
O13 O 0.478 0.613 0.593
O14 O 0.487 0.278 0.902
```

---

Record 4
# Zn3As2O6
Calculated powder XRD pattern, Cu Kα X-rays. Input: a cell relaxed with PBE.

Peak list (10 most intense, 2θ from 15° to 90°, low angle first)
d = 4.224 Å, 2θ 21.0, I = 27, hkl 1 1 1; d = 3.311 Å, 2θ 26.9, I = 59, hkl 1 1 3; d = 3.085 Å, 2θ 28.9, I = 51, hkl 2 0 -4; d = 2.922 Å, 2θ 30.6, I = 100, hkl 2 1 -3; d = 2.880 Å, 2θ 31.1, I = 44, hkl 1 1 4; d = 2.665 Å, 2θ 33.6, I = 31, hkl 2 1 -4; d = 2.609 Å, 2θ 34.4, I = 54, hkl 0 2 1; d = 2.520 Å, 2θ 35.6, I = 71, hkl 3 0 2; d = 2.001 Å, 2θ 45.3, I = 27, hkl 1 0 -8; d = 1.531 Å, 2θ 60.5, I = 28, hkl 2 3 3

```
data_Zn3As2O6
_chemical_formula_sum 'Zn12 As8 O24'
_symmetry_space_group_name_H-M 'P 1 21/c 1'
_symmetry_Int_Tables_number 14
_symmetry_space_group_name_Hall '-P 2ybc'
_cell_length_a 8.391
_cell_length_b 5.288
_cell_length_c 16.110
_cell_angle_alpha 90.00
_cell_angle_beta 97.34
_cell_angle_gamma 90.00
loop_
_atom_site_label
_atom_site_type_symbol
_atom_site_fract_x
_atom_site_fract_y
_atom_site_fract_z
Zn1 Zn 0.010 0.050 0.311
Zn2 Zn 0.110 0.126 0.067
Zn3 Zn 0.370 0.146 0.240
As1 As 0.241 0.541 0.369
As2 As 0.334 0.632 0.106
O1 O 0.086 0.694 0.298
O2 O 0.114 0.007 0.950
O3 O 0.138 0.018 0.604
O4 O 0.221 0.228 0.323
O5 O 0.278 0.559 0.643
O6 O 0.428 0.000 0.704
```

---

Record 5
# ZrAs2O10
Calculated powder XRD pattern, Cu Kα X-rays. Input: a cell relaxed with PBE.

Peak list (10 most intense, 2θ from 15° to 90°, low angle first)
d = 4.633 Å, 2θ 19.2, I = 45, hkl 1 0 1; d = 4.576 Å, 2θ 19.4, I = 100, hkl 1 0 -2; d = 3.698 Å, 2θ 24.1, I = 85, hkl 1 0 2; d = 3.648 Å, 2θ 24.4, I = 79, hkl 1 0 -3; d = 3.478 Å, 2θ 25.6, I = 60, hkl 0 2 0; d = 3.345 Å, 2θ 26.7, I = 53, hkl 0 2 1; d = 3.265 Å, 2θ 27.3, I = 30, hkl 1 1 2; d = 3.231 Å, 2θ 27.6, I = 26, hkl 1 1 -3; d = 2.792 Å, 2θ 32.1, I = 55, hkl 2 0 -1; d = 2.734 Å, 2θ 32.8, I = 36, hkl 1 1 3

```
data_ZrAs2O10
_chemical_formula_sum 'Zr2 As4 O20'
_symmetry_space_group_name_H-M 'P 1 21 1'
_symmetry_Int_Tables_number 4
_symmetry_space_group_name_Hall 'P 2yb'
_cell_length_a 5.586
_cell_length_b 6.956
_cell_length_c 12.466
_cell_angle_alpha 90.00
_cell_angle_beta 102.15
_cell_angle_gamma 90.00
loop_
_atom_site_label
_atom_site_type_symbol
_atom_site_fract_x
_atom_site_fract_y
_atom_site_fract_z
Zr1 Zr 0.179 0.000 0.363
As1 As 0.237 0.495 0.439
As2 As 0.412 0.392 0.825
O1 O 0.011 0.172 0.841
O2 O 0.064 0.496 0.536
O3 O 0.072 0.815 0.016
O4 O 0.112 0.476 0.790
O5 O 0.173 0.298 0.357
O6 O 0.184 0.696 0.359
O7 O 0.412 0.142 0.828
O8 O 0.419 0.008 0.253
O9 O 0.453 0.900 0.036
O10 O 0.463 0.992 0.496
```

---

Record 6
# ZrAs2O10
Calculated powder XRD pattern, Cu Kα X-rays. Input: a cell relaxed with PBE.

Peak list (10 most intense, 2θ from 15° to 90°, low angle first)
d = 4.715 Å, 2θ 18.8, I = 62, hkl 1 0 1; d = 3.796 Å, 2θ 23.4, I = 100, hkl 1 0 2; d = 3.485 Å, 2θ 25.6, I = 48, hkl 0 2 0; d = 3.363 Å, 2θ 26.5, I = 23, hkl 0 2 1; d = 3.333 Å, 2θ 26.7, I = 23, hkl 1 1 -3; d = 2.810 Å, 2θ 31.8, I = 40, hkl 1 1 -4; d = 2.803 Å, 2θ 31.9, I = 17, hkl 1 2 1; d = 2.566 Å, 2θ 35.0, I = 40, hkl 0 0 5; d = 1.831 Å, 2θ 49.8, I = 17, hkl 2 1 -6; d = 1.654 Å, 2θ 55.5, I = 16, hkl 2 1 -7

```
data_ZrAs2O10
_chemical_formula_sum 'Zr2 As4 O20'
_symmetry_space_group_name_H-M 'P 1 21 1'
_symmetry_Int_Tables_number 4
_symmetry_space_group_name_Hall 'P 2yb'
_cell_length_a 5.652
_cell_length_b 6.970
_cell_length_c 13.112
_cell_angle_alpha 90.00
_cell_angle_beta 102.38
_cell_angle_gamma 90.00
loop_
_atom_site_label
_atom_site_type_symbol
_atom_site_fract_x
_atom_site_fract_y
_atom_site_fract_z
Zr1 Zr 0.205 0.000 0.371
As1 As 0.194 0.498 0.445
As2 As 0.405 0.391 0.803
O1 O 0.056 0.999 0.502
O2 O 0.145 0.487 0.733
O3 O 0.159 0.355 0.979
O4 O 0.189 0.300 0.367
O5 O 0.195 0.697 0.370
O6 O 0.250 0.569 0.172
O7 O 0.347 0.996 0.227
O8 O 0.360 0.420 0.967
O9 O 0.448 0.494 0.543
O10 O 0.476 0.578 0.190
```

---

Record 7
# As2Os
Calculated powder XRD pattern, Cu Kα X-rays. Input: a cell relaxed with PBE.

Peak list (10 most intense, 2θ from 15° to 90°, low angle first)
d = 4.122 Å, 2θ 21.6, I = 83, hkl 1 1 0; d = 3.130 Å, 2θ 28.5, I = 31, hkl 0 2 0; d = 2.718 Å, 2θ 33.0, I = 29, hkl 1 2 0; d = 2.667 Å, 2θ 33.6, I = 100, hkl 1 0 1; d = 2.061 Å, 2θ 43.9, I = 27, hkl 2 2 0; d = 2.030 Å, 2θ 44.6, I = 43, hkl 1 2 1; d = 1.950 Å, 2θ 46.6, I = 37, hkl 1 3 0; d = 1.939 Å, 2θ 46.9, I = 69, hkl 2 1 1; d = 1.753 Å, 2θ 52.2, I = 36, hkl 3 1 0; d = 1.723 Å, 2θ 53.2, I = 40, hkl 0 3 1

```
data_As2Os
_chemical_formula_sum 'As4 Os2'
_symmetry_space_group_name_H-M 'P n n m'
_symmetry_Int_Tables_number 58
_symmetry_space_group_name_Hall '-P 2 2n'
_cell_length_a 5.478
_cell_length_b 6.260
_cell_length_c 3.053
_cell_angle_alpha 90.00
_cell_angle_beta 90.00
_cell_angle_gamma 90.00
loop_
_atom_site_label
_atom_site_type_symbol
_atom_site_fract_x
_atom_site_fract_y
_atom_site_fract_z
As1 As 0.171 0.135 0.000
Os1 Os 0.000 0.500 0.000
```

---

Record 8
# Ti3As2POs3
Calculated powder XRD pattern, Cu Kα X-rays. Input: a cell relaxed with PBE.

Peak list (10 most intense, 2θ from 15° to 90°, low angle first)
d = 3.570 Å, 2θ 24.9, I = 42, hkl 0 3 1; d = 3.549 Å, 2θ 25.1, I = 21, hkl 0 0 2; d = 2.977 Å, 2θ 30.0, I = 32, hkl 1 0 0; d = 2.336 Å, 2θ 38.5, I = 23, hkl 0 4 2; d = 2.284 Å, 2θ 39.4, I = 100, hkl 1 3 1; d = 2.140 Å, 2θ 42.2, I = 15, hkl 1 2 2; d = 2.065 Å, 2θ 43.8, I = 20, hkl 0 6 0; d = 2.053 Å, 2θ 44.1, I = 40, hkl 0 3 3; d = 1.838 Å, 2θ 49.6, I = 18, hkl 1 4 2; d = 1.690 Å, 2θ 54.3, I = 16, hkl 1 3 3

```
data_Ti3As2POs3
_chemical_formula_sum 'Ti6 As4 P2 Os6'
_symmetry_space_group_name_H-M 'A m m 2'
_symmetry_Int_Tables_number 38
_symmetry_space_group_name_Hall 'A 2 -2'
_cell_length_a 2.977
_cell_length_b 12.389
_cell_length_c 7.099
_cell_angle_alpha 90.00
_cell_angle_beta 90.00
_cell_angle_gamma 90.00
loop_
_atom_site_label
_atom_site_type_symbol
_atom_site_fract_x
_atom_site_fract_y
_atom_site_fract_z
Ti1 Ti 0.000 0.000 0.000
Ti2 Ti 0.000 0.186 0.443
As1 As 0.500 0.166 0.129
P1 P 0.000 0.000 0.630
Os1 Os 0.500 0.000 0.344
Os2 Os 0.500 0.143 0.772
```

---

Record 9
# AsOsSe
Calculated powder XRD pattern, Cu Kα X-rays. Input: a cell relaxed with PBE.

Peak list (10 most intense, 2θ from 15° to 90°, low angle first)
d = 3.954 Å, 2θ 22.5, I = 100, hkl 1 1 -1; d = 3.070 Å, 2θ 29.1, I = 36, hkl 0 2 0; d = 2.887 Å, 2θ 31.0, I = 44, hkl 0 0 2; d = 2.849 Å, 2θ 31.4, I = 51, hkl 2 0 0; d = 2.639 Å, 2θ 34.0, I = 32, hkl 1 2 -1; d = 2.103 Å, 2θ 43.0, I = 27, hkl 0 2 2; d = 1.972 Å, 2θ 46.0, I = 30, hkl 1 1 -3; d = 1.948 Å, 2θ 46.6, I = 45, hkl 3 1 -1; d = 1.903 Å, 2θ 47.8, I = 33, hkl 1 3 -1; d = 1.760 Å, 2θ 52.0, I = 40, hkl 1 3 1

```
data_AsOsSe
_chemical_formula_sum 'As4 Os4 Se4'
_symmetry_space_group_name_H-M 'P 1 21/c 1'
_symmetry_Int_Tables_number 14
_symmetry_space_group_name_Hall '-P 2ybc'
_cell_length_a 6.173
_cell_length_b 6.140
_cell_length_c 6.255
_cell_angle_alpha 90.00
_cell_angle_beta 112.61
_cell_angle_gamma 90.00
loop_
_atom_site_label
_atom_site_type_symbol
_atom_site_fract_x
_atom_site_fract_y
_atom_site_fract_z
As1 As 0.143 0.133 0.383
Os1 Os 0.274 0.003 0.794
Se1 Se 0.341 0.629 0.688
```